Starting from the PBE geometry in the Materials Project, the X-ray diffraction stick pattern of SmMn2Ni3 was calculated for λ = 1.5418 Å (Cu Kα).
No peak broadening, texture or thermal motion is included.

Cell: 5.054 5.054 3.996 Å, 90.00 90.00 120.00°
Positions (direct):
1 Sm 0.000 0.000 0.000
2 Mn 0.333 0.667 0.000
3 Mn 0.667 0.333 0.000
4 Ni 0.000 0.500 0.500
5 Ni 0.500 0.000 0.500
6 Ni 0.500 0.500 0.500

The 10 most intense peaks (10 to 80 degrees two-theta), most intense first:
d/Å, I (rel.)
2.136, 100
2.951, 59
2.188, 42
2.527, 30
1.998, 26
1.476, 23
1.370, 22
1.529, 17
1.263, 16
1.567, 13

=====

Starting from the PBE geometry in the Materials Project, the X-ray diffraction stick pattern of MnVRu2 was calculated for λ = 1.5418 Å (Cu Kα).
No peak broadening, texture or thermal motion is included.

Cell: 4.258 4.258 4.258 Å, 60.00 60.00 60.00°
Positions (direct):
1 Mn 0.000 0.000 0.000
2 V 0.500 0.500 0.500
3 Ru 0.250 0.250 0.250
4 Ru 0.750 0.750 0.750

The 6 most intense peaks (10 to 80 degrees two-theta), most intense first:
d/Å, I (rel.)
2.129, 100
1.229, 31
1.505, 16
3.011, 14
1.346, 5
1.738, 4

=====

Starting from the PBE geometry in the Materials Project, the X-ray diffraction stick pattern of HoCdRh2 was calculated for λ = 1.5418 Å (Cu Kα).
No peak broadening, texture or thermal motion is included.

Cell: 4.692 4.692 4.692 Å, 60.00 60.00 60.00°
Positions (direct):
1 Ho 0.000 0.000 0.000
2 Cd 0.500 0.500 0.500
3 Rh 0.250 0.250 0.250
4 Rh 0.750 0.750 0.750

The 9 most intense peaks (10 to 80 degrees two-theta), most intense first:
d/Å, I (rel.)
2.346, 100
1.354, 34
1.659, 17
3.831, 2
3.318, 2
2.001, 1
1.484, 1
1.915, 1
1.522, 1

=====

Starting from the PBE geometry in the Materials Project, the X-ray diffraction stick pattern of RbNd2I5 was calculated for λ = 1.5418 Å (Cu Kα).
No peak broadening, texture or thermal motion is included.

Cell: 9.884 8.788 14.355 Å, 90.00 90.50 90.00°
Positions (direct):
1 Rb 0.004 0.061 0.331
2 Rb 0.004 0.439 0.831
3 Rb 0.996 0.561 0.169
4 Rb 0.996 0.939 0.669
5 Nd 0.270 0.586 0.503
6 Nd 0.270 0.914 0.003
7 Nd 0.494 0.563 0.174
8 Nd 0.494 0.937 0.674
9 Nd 0.506 0.063 0.326
10 Nd 0.506 0.437 0.826
11 Nd 0.730 0.086 0.997
12 Nd 0.730 0.414 0.497
13 I 0.034 0.170 0.079
14 I 0.034 0.330 0.579
15 I 0.272 0.676 0.721
16 I 0.272 0.824 0.221
17 I 0.288 0.540 0.996
18 I 0.288 0.960 0.496
19 I 0.289 0.147 0.819
20 I 0.289 0.353 0.319
21 I 0.455 0.168 0.105
22 I 0.455 0.332 0.605
23 I 0.545 0.668 0.395
24 I 0.545 0.832 0.895
25 I 0.711 0.647 0.681
26 I 0.711 0.853 0.181
27 I 0.712 0.040 0.504
28 I 0.712 0.460 0.004
29 I 0.728 0.176 0.779
30 I 0.728 0.324 0.279
31 I 0.966 0.670 0.421
32 I 0.966 0.830 0.921

The 10 most intense peaks (10 to 80 degrees two-theta), most intense first:
d/Å, I (rel.)
3.207, 100
3.195, 86
3.322, 62
2.471, 54
2.870, 46
2.992, 45
2.980, 43
2.916, 40
2.892, 38
3.681, 31

=====

Starting from the PBE geometry in the Materials Project, the X-ray diffraction stick pattern of Ba3Al2Sn2 was calculated for λ = 1.5418 Å (Cu Kα).
No peak broadening, texture or thermal motion is included.

Cell: 11.000 11.000 11.000 Å, 155.71 152.23 37.23°
Positions (direct):
1 Ba 0.000 0.000 0.000
2 Ba 0.182 0.682 0.500
3 Ba 0.818 0.318 0.500
4 Al 0.439 0.439 0.000
5 Al 0.561 0.561 0.000
6 Sn 0.364 0.864 0.500
7 Sn 0.636 0.136 0.500

The 10 most intense peaks (10 to 80 degrees two-theta), most intense first:
d/Å, I (rel.)
3.302, 100
2.895, 82
3.272, 78
3.478, 75
2.640, 46
2.505, 34
1.890, 33
2.315, 32
1.740, 27
1.784, 26

=====

Starting from the PBE geometry in the Materials Project, the X-ray diffraction stick pattern of Dy2In3Sn3 was calculated for λ = 1.5418 Å (Cu Kα).
No peak broadening, texture or thermal motion is included.

Cell: 4.674 4.685 9.337 Å, 90.00 90.00 90.00°
Positions (direct):
1 Dy 0.000 0.000 0.248
2 Dy 0.000 0.000 0.752
3 In 0.000 0.500 0.500
4 In 0.500 0.500 0.251
5 In 0.500 0.500 0.749
6 Sn 0.000 0.500 0.000
7 Sn 0.500 0.000 0.000
8 Sn 0.500 0.000 0.500

The 10 most intense peaks (10 to 80 degrees two-theta), most intense first:
d/Å, I (rel.)
2.700, 100
2.340, 33
1.409, 27
1.654, 23
2.334, 17
1.412, 14
1.350, 12
1.652, 11
4.677, 2
3.306, 2

=====

Starting from the PBE geometry in the Materials Project, the X-ray diffraction stick pattern of Si3O was calculated for λ = 1.5418 Å (Cu Kα).
No peak broadening, texture or thermal motion is included.

Cell: 9.159 9.159 8.413 Å, 98.18 98.18 26.61°
Positions (direct):
1 Si 0.037 0.064 0.179
2 Si 0.064 0.037 0.679
3 Si 0.238 0.367 0.516
4 Si 0.367 0.238 0.016
5 Si 0.368 0.385 0.288
6 Si 0.385 0.368 0.788
7 Si 0.615 0.632 0.212
8 Si 0.632 0.615 0.712
9 Si 0.633 0.762 0.984
10 Si 0.762 0.633 0.484
11 Si 0.936 0.963 0.321
12 Si 0.963 0.936 0.821
13 O 0.000 0.000 0.000
14 O 0.000 0.000 0.500
15 O 0.000 0.500 0.000
16 O 0.500 0.000 0.500

The 10 most intense peaks (10 to 80 degrees two-theta), most intense first:
d/Å, I (rel.)
3.426, 100
3.274, 51
3.567, 45
2.026, 34
2.160, 26
2.108, 15
2.095, 13
1.772, 7
1.829, 7
1.717, 7

=====

Starting from the PBE geometry in the Materials Project, the X-ray diffraction stick pattern of LiAgF4 was calculated for λ = 1.5418 Å (Cu Kα).
No peak broadening, texture or thermal motion is included.

Cell: 5.968 8.444 7.895 Å, 90.00 120.98 90.00°
Positions (direct):
1 Li 0.139 0.003 0.348
2 Li 0.139 0.497 0.848
3 Li 0.861 0.503 0.152
4 Li 0.861 0.997 0.652
5 Ag 0.472 0.664 0.612
6 Ag 0.472 0.836 0.112
7 Ag 0.528 0.164 0.888
8 Ag 0.528 0.336 0.388
9 F 0.164 0.703 0.963
10 F 0.164 0.797 0.463
11 F 0.234 0.011 0.759
12 F 0.234 0.489 0.259
13 F 0.274 0.516 0.676
14 F 0.274 0.984 0.176
15 F 0.335 0.198 0.473
16 F 0.335 0.302 0.973
17 F 0.665 0.698 0.027
18 F 0.665 0.802 0.527
19 F 0.726 0.016 0.824
20 F 0.726 0.484 0.324
21 F 0.766 0.511 0.741
22 F 0.766 0.989 0.241
23 F 0.836 0.203 0.537
24 F 0.836 0.297 0.037

The 10 most intense peaks (10 to 80 degrees two-theta), most intense first:
d/Å, I (rel.)
5.116, 100
3.534, 76
3.141, 47
3.402, 38
3.582, 37
5.281, 28
2.416, 25
4.750, 20
2.242, 19
2.152, 17